This entry pairs a crystal structure of Cs2PdAuF6 with its computed X-ray powder pattern. Radiation: λ = 1.5418 Å (Cu Kα). Structure: a GGA-PBE-relaxed structure.
Lines closer than 0.1° are merged.

Main lines, in order of falling intensity (2θ from 10° to 80°):
- 2θ 26.89, d 3.316, rel. 100.0
- 2θ 27.61, d 3.231, rel. 92.6
- 2θ 27.80, d 3.209, rel. 90.7
- 2θ 47.82, d 1.902, rel. 39.3
- 2θ 48.18, d 1.889, rel. 39.0
- 2θ 49.49, d 1.842, rel. 37.6
- 2θ 38.10, d 2.362, rel. 31.2
- 2θ 38.68, d 2.328, rel. 30.1
- 2θ 40.75, d 2.214, rel. 26.6
- 2θ 55.41, d 1.658, rel. 19.5

Structural model:
```
Cs2PdAuF6
1.0
0.0000 4.6561 4.7240
4.4290 0.0000 4.7240
4.4290 4.6561 0.0000
Cs Pd Au F
2 1 1 6
direct
0.2500 0.2500 0.2500
0.7500 0.7500 0.7500
0.0000 0.0000 0.0000
0.5000 0.5000 0.5000
0.2136 0.2136 0.7864
0.2172 0.7828 0.2172
0.2656 0.7344 0.7344
0.7344 0.2656 0.2656
0.7828 0.2172 0.7828
0.7864 0.7864 0.2136
```



This entry pairs a crystal structure of La3HoS4 with its computed X-ray powder pattern. Radiation: λ = 1.5418 Å (Cu Kα). Structure: a GGA-PBE-relaxed structure.
Lines closer than 0.1° are merged.

Main lines, in order of falling intensity (2θ from 10° to 80°):
- 2θ 30.92, d 2.892, rel. 100.0
- 2θ 26.74, d 3.333, rel. 55.1
- 2θ 44.16, d 2.051, rel. 36.4
- 2θ 44.37, d 2.042, rel. 24.1
- 2θ 26.54, d 3.359, rel. 18.8
- 2θ 52.45, d 1.745, rel. 15.5
- 2θ 55.16, d 1.665, rel. 12.4
- 2θ 52.64, d 1.739, rel. 12.3
- 2θ 44.53, d 2.035, rel. 11.9
- 2θ 72.93, d 1.297, rel. 10.6

Structural model:
```
La3HoS4
1.0
7.1230 0.0000 0.0000
0.0000 8.1381 0.0000
-2.3532 0.0000 6.6783
La Ho S
6 2 8
direct
0.0000 0.1239 0.2500
0.0000 0.3744 0.7500
0.0000 0.6256 0.2500
0.0000 0.8761 0.7500
0.5000 0.1251 0.7500
0.5000 0.8749 0.2500
0.5000 0.3746 0.2500
0.5000 0.6254 0.7500
0.2586 0.1336 0.0087
0.2586 0.8664 0.5087
0.2656 0.3832 0.4998
0.2656 0.6168 0.9998
0.7344 0.3832 0.0002
0.7344 0.6168 0.5002
0.7414 0.1336 0.4913
0.7414 0.8664 0.9913
```



This entry pairs a crystal structure of ZnP3 with its computed X-ray powder pattern. Radiation: λ = 1.5418 Å (Cu Kα). Structure: a GGA-PBE-relaxed structure.
Lines closer than 0.1° are merged.

Main lines, in order of falling intensity (2θ from 10° to 80°):
- 2θ 30.47, d 2.934, rel. 100.0
- 2θ 27.87, d 3.202, rel. 56.5
- 2θ 49.61, d 1.838, rel. 48.4
- 2θ 53.56, d 1.711, rel. 30.8
- 2θ 42.94, d 2.106, rel. 26.4
- 2θ 24.39, d 3.650, rel. 20.0
- 2θ 49.95, d 1.826, rel. 16.8
- 2θ 67.94, d 1.380, rel. 13.0
- 2θ 58.16, d 1.586, rel. 12.4
- 2θ 60.51, d 1.530, rel. 11.3

Structural model:
```
ZnP3
1.0
4.2122 0.0000 0.0000
0.0000 7.3047 0.0000
0.0000 0.0000 4.9269
Zn P
2 6
direct
0.2500 0.2500 0.0819
0.7500 0.7500 0.9181
0.2500 0.0027 0.4051
0.2500 0.4973 0.4051
0.2500 0.7500 0.1577
0.7500 0.2500 0.8423
0.7500 0.5027 0.5949
0.7500 0.9973 0.5949
```



This entry pairs a crystal structure of Na14Pb2Se9 with its computed X-ray powder pattern. Radiation: λ = 1.5418 Å (Cu Kα). Structure: a GGA-PBE-relaxed structure.
Lines closer than 0.1° are merged.

Main lines, in order of falling intensity (2θ from 10° to 80°):
- 2θ 14.10, d 6.279, rel. 100.0
- 2θ 36.89, d 2.436, rel. 82.0
- 2θ 36.42, d 2.467, rel. 75.9
- 2θ 22.11, d 4.020, rel. 67.0
- 2θ 32.90, d 2.723, rel. 29.7
- 2θ 52.81, d 1.733, rel. 27.0
- 2θ 65.85, d 1.418, rel. 25.8
- 2θ 22.48, d 3.955, rel. 25.7
- 2θ 43.22, d 2.093, rel. 24.7
- 2θ 25.54, d 3.488, rel. 23.8

Structural model:
```
Na14Pb2Se9
1.0
8.5456 0.0000 0.0000
-4.2728 7.4007 0.0000
0.0000 0.0000 11.8635
Na Pb Se
14 2 9
direct
0.0000 0.0000 0.2468
0.0000 0.0000 0.7532
0.0264 0.6791 0.4088
0.0377 0.3636 0.0902
0.3209 0.3474 0.4088
0.3259 0.9623 0.0902
0.3474 0.0264 0.5912
0.3636 0.3259 0.9098
0.6364 0.6741 0.0902
0.6526 0.9736 0.4088
0.6741 0.0377 0.9098
0.6791 0.6526 0.5912
0.9623 0.6364 0.9098
0.9736 0.3209 0.5912
0.3333 0.6667 0.7562
0.6667 0.3333 0.2438
0.0000 0.0000 0.5000
0.0210 0.3309 0.8407
0.3099 0.9790 0.8407
0.3309 0.3099 0.1593
0.3333 0.6667 0.5085
0.6667 0.3333 0.4915
0.6691 0.6901 0.8407
0.6901 0.0210 0.1593
0.9790 0.6691 0.1593
```



This entry pairs a crystal structure of Y4Ga12Cu with its computed X-ray powder pattern. Radiation: λ = 1.5418 Å (Cu Kα). Structure: a GGA-PBE-relaxed structure.
Lines closer than 0.1° are merged.

Main lines, in order of falling intensity (2θ from 10° to 80°):
- 2θ 35.97, d 2.496, rel. 100.0
- 2θ 41.78, d 2.162, rel. 60.5
- 2θ 60.57, d 1.529, rel. 34.3
- 2θ 72.50, d 1.304, rel. 28.4
- 2θ 76.28, d 1.248, rel. 9.9
- 2θ 38.97, d 2.311, rel. 9.4
- 2θ 49.43, d 1.844, rel. 8.6
- 2θ 29.21, d 3.058, rel. 6.9
- 2θ 44.45, d 2.038, rel. 6.1
- 2θ 32.75, d 2.735, rel. 5.8

Structural model:
```
Y4Ga12Cu
1.0
-4.3240 4.3240 4.3240
4.3240 -4.3240 4.3240
4.3240 4.3240 -4.3240
Y Ga Cu
4 12 1
direct
0.0000 0.0000 0.5000
0.0000 0.5000 0.0000
0.5000 0.0000 0.0000
0.5000 0.5000 0.5000
0.0000 0.2923 0.2923
0.0000 0.7077 0.7077
0.2500 0.5000 0.7500
0.2500 0.7500 0.5000
0.2923 0.0000 0.2923
0.2923 0.2923 0.0000
0.5000 0.2500 0.7500
0.5000 0.7500 0.2500
0.7077 0.0000 0.7077
0.7077 0.7077 0.0000
0.7500 0.2500 0.5000
0.7500 0.5000 0.2500
0.0000 0.0000 0.0000
```